Structure and simulated X-ray diffraction stick pattern of MgNpB12 (a PBE-relaxed structure; Cu Kα (weighted mean of Kα1 and Kα2)).
Neutral-atom scattering factors, no anomalous dispersion.

Principal peaks in the range 2θ = 15–90°, sorted by position:
2θ/deg  I/Imax  (hkl)
21.6  20  0 0 2
21.7  39  1 0 0
24.3  69  1 0 1
30.8  100  1 1 0
32.8  33  1 1 1
38.0  43  1 1 2
39.5  20  1 0 3
49.8  34  2 1 0

Cell and atoms:
```
MgNpB12
1.0
4.0936 0.0000 0.0000
0.0000 4.0936 0.0000
0.0000 0.0000 8.2299
Mg Np B
1 1 12
Direct
0.0000 0.0000 0.0000
0.0000 0.0000 0.5000
0.1991 0.5000 0.2499
0.1991 0.5000 0.7501
0.5000 0.1991 0.2499
0.5000 0.1991 0.7501
0.5000 0.5000 0.0999
0.5000 0.5000 0.4007
0.5000 0.5000 0.5993
0.5000 0.5000 0.9001
0.5000 0.8009 0.2499
0.5000 0.8009 0.7501
0.8009 0.5000 0.2499
0.8009 0.5000 0.7501
```